# DyCdN
Calculated X-ray powder pattern, Cu Kα (weighted mean of Kα1 and Kα2). Input: a cell relaxed with PBE.

Largest 12 diffraction maxima, by angle, 2θ = 10–90°:
d_spacing	Position (°2θ)	I (rel.)
3.294	27.07	61
2.975	30.04	100
2.703	33.14	94
2.645	33.89	39
1.944	46.72	52
1.881	48.40	20
1.628	56.55	17
1.578	58.47	19
1.567	58.96	46
1.496	62.02	16
1.248	76.30	14
1.225	77.97	16

Atomic structure:
a b c (Å): 10.8145 10.8145 10.8145
angles (deg): 20.71 20.71 20.71
Fractional coordinates of all 6 atoms:
Dy1 0.2063 0.2063 0.2063
Dy2 0.7937 0.7937 0.7937
Cd1 0.3690 0.3690 0.3690
Cd2 0.6310 0.6310 0.6310
N1 0.1342 0.1342 0.1342
N2 0.8658 0.8658 0.8658


# Nd4Dy3Cd
Calculated X-ray powder pattern, Cu Kα (weighted mean of Kα1 and Kα2). Input: a cell relaxed with PBE.

Largest 12 diffraction maxima, by angle, 2θ = 10–90°:
d_spacing	Position (°2θ)	I (rel.)
2.925	30.56	58
2.781	32.18	100
2.068	43.77	22
1.879	48.46	8
1.660	55.35	43
1.581	58.38	18
1.463	63.62	7
1.391	67.33	11
1.308	72.21	10
1.295	73.10	9
1.199	80.05	7
1.097	89.26	12

Atomic structure:
a b c (Å): 4.1369 4.1369 15.0290
angles (deg): 90.00 90.00 90.00
Fractional coordinates of all 8 atoms:
Nd1 0.0000 0.0000 0.1161
Nd2 0.0000 0.0000 0.3765
Nd3 0.0000 0.0000 0.6235
Nd4 0.0000 0.0000 0.8839
Dy1 0.5000 0.5000 0.2500
Dy2 0.5000 0.5000 0.5000
Dy3 0.5000 0.5000 0.7500
Cd1 0.5000 0.5000 0.0000


# Nd8Dy5Cd
Calculated X-ray powder pattern, Cu Kα (weighted mean of Kα1 and Kα2). Input: a cell relaxed with PBE.

Largest 12 diffraction maxima, by angle, 2θ = 10–90°:
d_spacing	Position (°2θ)	I (rel.)
3.334	26.74	41
3.320	26.85	41
3.253	27.42	54
2.815	31.79	98
2.788	32.10	100
2.728	32.84	62
2.707	33.09	24
2.658	33.72	31
2.627	34.14	44
1.846	49.37	25
1.691	54.23	22
1.634	56.29	19

Atomic structure:
a b c (Å): 8.6687 8.6687 8.6687
angles (deg): 104.87 102.69 121.58
Fractional coordinates of all 14 atoms:
Nd1 0.1594 0.0000 0.1594
Nd2 0.3515 0.1893 0.8378
Nd3 0.3515 0.5137 0.1622
Nd4 0.4497 0.4858 0.5846
Nd5 0.4497 0.8652 0.9640
Nd6 0.8406 0.0000 0.8406
Nd7 0.9012 0.4858 0.0360
Nd8 0.9012 0.8652 0.4154
Dy1 0.0003 0.3160 0.6843
Dy2 0.3678 0.8678 0.5000
Dy3 0.6317 0.3160 0.3157
Dy4 0.9992 0.3044 0.3052
Dy5 0.9992 0.6939 0.6948
Cd1 0.6801 0.6801 0.0000


Question: Number 3 is which compound?
Answer: Nd8Dy5Cd


Question: What is the formula in the third record?
Answer: Nd8Dy5Cd